# 1
Diffraction record for HfB2H. The XRD peak list is simulated, not measured: it uses the PBE geometry in Alexandria and CuKα.
Kinematic intensities with the Lorentz-polarization factor, no thermal factor.

Main lines, sorted by position (2θ = 10–90°):
12.21 deg, d = 7.248 Å, intensity 72
24.57 deg, d = 3.624 Å, intensity 31
31.65 deg, d = 2.827 Å, intensity 100
32.54 deg, d = 2.751 Å, intensity 54
34.12 deg, d = 2.628 Å, intensity 53
37.22 deg, d = 2.416 Å, intensity 43
38.43 deg, d = 2.342 Å, intensity 48
40.79 deg, d = 2.212 Å, intensity 61
41.23 deg, d = 2.189 Å, intensity 38
52.69 deg, d = 1.737 Å, intensity 32

Cell and atoms:
a b c (Å): 3.238 3.070 7.356
angles (deg): 90.00 99.84 90.00
Fractional coordinates of all 8 atoms:
Hf (0.180, 0.250, 0.326)
Hf (0.820, 0.750, 0.674)
B (0.102, 0.250, 0.948)
B (0.372, 0.750, 0.922)
B (0.628, 0.250, 0.078)
B (0.898, 0.750, 0.052)
H (0.317, 0.250, 0.608)
H (0.683, 0.750, 0.392)

# 2
Diffraction record for HfB2H8. The XRD peak list is simulated, not measured: it uses the PBE geometry in Alexandria and CuKα.
Kinematic intensities with the Lorentz-polarization factor, no thermal factor.

Main lines, sorted by position (2θ = 10–90°):
15.34 deg, d = 5.778 Å, intensity 67
17.07 deg, d = 5.193 Å, intensity 100
27.46 deg, d = 3.248 Å, intensity 13
27.78 deg, d = 3.211 Å, intensity 30
32.00 deg, d = 2.796 Å, intensity 21
33.01 deg, d = 2.714 Å, intensity 20
34.54 deg, d = 2.597 Å, intensity 16
38.17 deg, d = 2.358 Å, intensity 13
40.72 deg, d = 2.216 Å, intensity 11
41.70 deg, d = 2.166 Å, intensity 12

Cell and atoms:
a b c (Å): 7.058 7.058 6.515
angles (deg): 113.60 113.60 48.64
Fractional coordinates of all 22 atoms:
Hf (0.009, 0.991, 0.750)
Hf (0.991, 0.009, 0.250)
B (0.129, 0.650, 0.425)
B (0.350, 0.871, 0.075)
B (0.650, 0.129, 0.925)
B (0.871, 0.350, 0.575)
H (0.095, 0.203, 0.537)
H (0.116, 0.660, 0.223)
H (0.203, 0.095, 0.037)
H (0.214, 0.427, 0.386)
H (0.288, 0.685, 0.577)
H (0.315, 0.712, 0.923)
H (0.340, 0.884, 0.277)
H (0.427, 0.214, 0.886)
H (0.573, 0.786, 0.114)
H (0.660, 0.116, 0.723)
H (0.685, 0.288, 0.077)
H (0.712, 0.315, 0.423)
H (0.786, 0.573, 0.614)
H (0.797, 0.905, 0.963)
H (0.884, 0.340, 0.777)
H (0.905, 0.797, 0.463)

# 3
Diffraction record for HgB3H12. The XRD peak list is simulated, not measured: it uses the PBE geometry in Alexandria and CuKα.
Kinematic intensities with the Lorentz-polarization factor, no thermal factor.

Main lines, sorted by position (2θ = 10–90°):
16.34 deg, d = 5.423 Å, intensity 100
23.08 deg, d = 3.854 Å, intensity 36
23.31 deg, d = 3.817 Å, intensity 33
28.60 deg, d = 3.121 Å, intensity 19
33.03 deg, d = 2.712 Å, intensity 21
36.92 deg, d = 2.435 Å, intensity 28
37.21 deg, d = 2.416 Å, intensity 25
40.82 deg, d = 2.211 Å, intensity 18
50.71 deg, d = 1.800 Å, intensity 11
64.56 deg, d = 1.444 Å, intensity 10

Cell and atoms:
a b c (Å): 7.708 7.708 7.708
angles (deg): 59.36 59.36 59.36
Fractional coordinates of all 32 atoms:
Hg (0.000, 0.000, 0.000)
Hg (0.500, 0.500, 0.500)
B (0.171, 0.774, 0.328)
B (0.274, 0.671, 0.828)
B (0.328, 0.171, 0.774)
B (0.671, 0.828, 0.274)
B (0.774, 0.328, 0.171)
B (0.828, 0.274, 0.671)
H (0.055, 0.670, 0.448)
H (0.131, 0.235, 0.791)
H (0.144, 0.931, 0.347)
H (0.164, 0.869, 0.760)
H (0.170, 0.555, 0.948)
H (0.235, 0.791, 0.131)
H (0.260, 0.369, 0.664)
H (0.291, 0.735, 0.631)
H (0.347, 0.144, 0.931)
H (0.369, 0.664, 0.260)
H (0.431, 0.644, 0.847)
H (0.448, 0.055, 0.670)
H (0.555, 0.948, 0.170)
H (0.631, 0.291, 0.735)
H (0.644, 0.847, 0.431)
H (0.664, 0.260, 0.369)
H (0.670, 0.448, 0.055)
H (0.735, 0.631, 0.291)
H (0.760, 0.164, 0.869)
H (0.791, 0.131, 0.235)
H (0.847, 0.431, 0.644)
H (0.869, 0.760, 0.164)
H (0.931, 0.347, 0.144)
H (0.948, 0.170, 0.555)

# 4
Diffraction record for Hg2BHPt6. The XRD peak list is simulated, not measured: it uses the PBE geometry in Alexandria and CuKα.
Kinematic intensities with the Lorentz-polarization factor, no thermal factor.

Main lines, sorted by position (2θ = 10–90°):
37.15 deg, d = 2.420 Å, intensity 100
43.17 deg, d = 2.096 Å, intensity 51
62.54 deg, d = 1.485 Å, intensity 6
62.72 deg, d = 1.481 Å, intensity 28
75.07 deg, d = 1.265 Å, intensity 13
75.23 deg, d = 1.263 Å, intensity 26
79.05 deg, d = 1.211 Å, intensity 6
79.27 deg, d = 1.209 Å, intensity 6

Cell and atoms:
a b c (Å): 5.927 5.927 5.927
angles (deg): 119.84 90.07 120.07
Fractional coordinates of all 10 atoms:
Hg (0.249, 0.000, 0.249)
Hg (0.751, 0.000, 0.751)
B (0.500, 0.500, 0.000)
H (0.998, 0.498, 0.500)
Pt (0.247, 0.500, 0.747)
Pt (0.247, 0.501, 0.254)
Pt (0.247, 0.993, 0.746)
Pt (0.752, 0.006, 0.254)
Pt (0.752, 0.498, 0.746)
Pt (0.753, 0.500, 0.253)

# 5
Diffraction record for HoBH. The XRD peak list is simulated, not measured: it uses the PBE geometry in Alexandria and CuKα.
Kinematic intensities with the Lorentz-polarization factor, no thermal factor.

Main lines, sorted by position (2θ = 10–90°):
25.59 deg, d = 3.481 Å, intensity 63
29.42 deg, d = 3.036 Å, intensity 51
31.16 deg, d = 2.870 Å, intensity 100
33.13 deg, d = 2.704 Å, intensity 67
37.83 deg, d = 2.378 Å, intensity 69
43.50 deg, d = 2.080 Å, intensity 30
53.33 deg, d = 1.718 Å, intensity 39
53.40 deg, d = 1.716 Å, intensity 17
60.30 deg, d = 1.535 Å, intensity 31
67.09 deg, d = 1.395 Å, intensity 17

Cell and atoms:
a b c (Å): 3.633 3.257 6.337
angles (deg): 90.00 106.63 90.00
Fractional coordinates of all 6 atoms:
Ho (0.135, 0.250, 0.269)
Ho (0.865, 0.750, 0.731)
B (0.478, 0.250, 0.955)
B (0.522, 0.750, 0.045)
H (0.255, 0.750, 0.509)
H (0.745, 0.250, 0.491)

# 6
Diffraction record for RbHoB2H8. The XRD peak list is simulated, not measured: it uses the PBE geometry in Alexandria and CuKα.
Kinematic intensities with the Lorentz-polarization factor, no thermal factor.

Main lines, sorted by position (2θ = 10–90°):
10.85 deg, d = 8.156 Å, intensity 33
21.79 deg, d = 4.078 Å, intensity 50
26.32 deg, d = 3.386 Å, intensity 93
29.25 deg, d = 3.053 Å, intensity 100
39.00 deg, d = 2.310 Å, intensity 45
44.53 deg, d = 2.034 Å, intensity 31
45.11 deg, d = 2.010 Å, intensity 25
50.11 deg, d = 1.820 Å, intensity 35
54.17 deg, d = 1.693 Å, intensity 17
64.73 deg, d = 1.440 Å, intensity 19

Cell and atoms:
a b c (Å): 8.487 8.487 8.487
angles (deg): 27.74 27.74 27.74
Fractional coordinates of all 12 atoms:
Rb (0.000, 0.000, 0.000)
Ho (0.500, 0.500, 0.500)
B (0.236, 0.236, 0.236)
B (0.764, 0.764, 0.764)
H (0.051, 0.051, 0.551)
H (0.051, 0.551, 0.051)
H (0.286, 0.286, 0.286)
H (0.449, 0.949, 0.949)
H (0.551, 0.051, 0.051)
H (0.714, 0.714, 0.714)
H (0.949, 0.449, 0.949)
H (0.949, 0.949, 0.449)